Calculated powder X-ray diffraction pattern of Ba3Er2O4F3 for Cu Ka, from a crystal structure in Alexandria, relaxed with GGA-PBE.
Peak positions follow from Bragg's law for the DFT cell and can differ from measured ones.

Main lines, by intensity (2θ = 5–70°):
2θ = 28.02°, rel. 1000; 2θ = 29.44°, rel. 488; 2θ = 48.67°, rel. 266; 2θ = 51.43°, rel. 191; 2θ = 51.26°, rel. 191; 2θ = 37.87°, rel. 159; 2θ = 41.98°, rel. 133; 2θ = 42.25°, rel. 131

Structural model:
Unit cell a=12.2614 b=12.2614 c=12.2614 alpha=159.91 beta=159.78 gamma=28.65
Positions (direct):
Ba: 0.0000 0.0000 0.0000
Ba: 0.1984 0.1984 0.0000
Ba: 0.8016 0.8016 0.0000
Er: 0.3980 0.3980 0.0000
Er: 0.6020 0.6020 0.0000
O: 0.0855 0.5855 0.5000
O: 0.3083 0.3083 0.0000
O: 0.6917 0.6917 0.0000
O: 0.9145 0.4145 0.5000
F: 0.4214 0.9214 0.5000
F: 0.5000 0.5000 0.0000
F: 0.5786 0.0786 0.5000